Diffraction record for NdSm8Ho3. The powder diffractogram is simulated, not measured: it uses the GGA-PBE geometry in Alexandria and a wavelength of 1.5418 Å.
Intensities are scaled so that the largest is 100.

The 10 most intense peaks (2θ from 15° to 90°), by intensity:
| 2θ/deg | d (Å) | I_rel |
| --- | --- | --- |
| 30.30 | 2.950 | 100 |
| 30.58 | 2.923 | 90 |
| 30.47 | 2.933 | 87 |
| 31.08 | 2.877 | 83 |
| 31.20 | 2.866 | 71 |
| 34.61 | 2.592 | 60 |
| 25.36 | 3.512 | 28 |
| 55.86 | 1.646 | 23 |
| 33.65 | 2.663 | 23 |
| 42.43 | 2.131 | 18 |

Lattice parameters (Å, degrees): 8.9310 8.9310 6.4209 110.84 110.84 58.89
Fractional coordinates of all 12 atoms:
Nd1 0.0000 0.0000 0.0000
Sm1 0.0740 0.1815 0.6384
Sm2 0.1335 0.5220 0.0745
Sm3 0.2405 0.6210 0.6796
Sm4 0.3110 0.1937 0.3464
Sm5 0.3790 0.7595 0.3204
Sm6 0.4780 0.8665 0.9255
Sm7 0.8063 0.6890 0.6536
Sm8 0.8185 0.9260 0.3616
Ho1 0.5405 0.2095 0.8969
Ho2 0.6208 0.3792 0.5000
Ho3 0.7905 0.4595 0.1031

***

Diffraction record for Nd3SmHo6. The powder diffractogram is simulated, not measured: it uses the GGA-PBE geometry in Alexandria and a wavelength of 1.5418 Å.
Intensities are scaled so that the largest is 100.

The 10 most intense peaks (2θ from 15° to 90°), by intensity:
| 2θ/deg | d (Å) | I_rel |
| --- | --- | --- |
| 31.43 | 2.846 | 100 |
| 31.16 | 2.870 | 81 |
| 34.02 | 2.635 | 51 |
| 32.08 | 2.790 | 47 |
| 28.47 | 3.135 | 44 |
| 55.22 | 1.663 | 36 |
| 33.48 | 2.676 | 28 |
| 30.44 | 2.937 | 25 |
| 31.55 | 2.836 | 25 |
| 64.92 | 1.436 | 24 |

Lattice parameters (Å, degrees): 6.6539 6.6539 9.6874 111.19 111.19 59.31
Fractional coordinates of all 10 atoms:
Nd1 0.0000 0.0000 0.0000
Nd2 0.0697 0.0697 0.6984
Nd3 0.9303 0.9303 0.3016
Sm1 0.5000 0.5000 0.5000
Ho1 0.0673 0.5610 0.6890
Ho2 0.3625 0.3625 0.0786
Ho3 0.4390 0.9327 0.3110
Ho4 0.5610 0.0673 0.6890
Ho5 0.6375 0.6375 0.9214
Ho6 0.9327 0.4390 0.3110

***

Diffraction record for Nd5Sm4Ho2. The powder diffractogram is simulated, not measured: it uses the GGA-PBE geometry in Alexandria and a wavelength of 1.5418 Å.
Intensities are scaled so that the largest is 100.

The 10 most intense peaks (2θ from 15° to 90°), by intensity:
| 2θ/deg | d (Å) | I_rel |
| --- | --- | --- |
| 30.14 | 2.965 | 100 |
| 30.33 | 2.947 | 97 |
| 31.90 | 2.806 | 86 |
| 30.03 | 2.975 | 75 |
| 36.37 | 2.470 | 43 |
| 55.65 | 1.652 | 33 |
| 29.08 | 3.071 | 29 |
| 25.65 | 3.473 | 29 |
| 61.40 | 1.510 | 26 |
| 61.51 | 1.508 | 26 |

Lattice parameters (Å, degrees): 12.2680 12.2680 8.9057 96.99 96.99 16.45
Fractional coordinates of all 11 atoms:
Nd1 0.0000 0.0000 0.0000
Nd2 0.2696 0.2696 0.1789
Nd3 0.3601 0.3601 0.8844
Nd4 0.6399 0.6399 0.1156
Nd5 0.7304 0.7304 0.8211
Sm1 0.1761 0.1761 0.4713
Sm2 0.4549 0.4549 0.6382
Sm3 0.5451 0.5451 0.3618
Sm4 0.8239 0.8239 0.5287
Ho1 0.4088 0.4088 0.2674
Ho2 0.5912 0.5912 0.7326

***

Diffraction record for Nd12SmHo6. The powder diffractogram is simulated, not measured: it uses the GGA-PBE geometry in Alexandria and a wavelength of 1.5418 Å.
Intensities are scaled so that the largest is 100.

The 10 most intense peaks (2θ from 15° to 90°), by intensity:
| 2θ/deg | d (Å) | I_rel |
| --- | --- | --- |
| 31.15 | 2.871 | 100 |
| 32.41 | 2.762 | 65 |
| 30.35 | 2.945 | 40 |
| 32.79 | 2.731 | 31 |
| 30.89 | 2.895 | 25 |
| 54.35 | 1.688 | 19 |
| 34.30 | 2.614 | 17 |
| 44.29 | 2.045 | 12 |
| 57.51 | 1.603 | 12 |
| 57.19 | 1.611 | 12 |

Lattice parameters (Å, degrees): 8.6886 8.6886 8.6886 88.89 88.89 88.89
Fractional coordinates of all 19 atoms:
Nd1 0.0175 0.3629 0.1953
Nd2 0.1953 0.0175 0.3629
Nd3 0.2188 0.5668 0.4637
Nd4 0.3629 0.1953 0.0175
Nd5 0.4332 0.5363 0.7812
Nd6 0.4637 0.2188 0.5668
Nd7 0.5363 0.7812 0.4332
Nd8 0.5668 0.4637 0.2188
Nd9 0.6371 0.8047 0.9825
Nd10 0.7812 0.4332 0.5363
Nd11 0.8047 0.9825 0.6371
Nd12 0.9825 0.6371 0.8047
Sm1 0.0000 0.0000 0.0000
Ho1 0.0993 0.2587 0.7019
Ho2 0.2587 0.7019 0.0993
Ho3 0.2981 0.9006 0.7413
Ho4 0.7019 0.0993 0.2587
Ho5 0.7413 0.2981 0.9006
Ho6 0.9006 0.7413 0.2981

***

Diffraction record for NdSm5Ho12. The powder diffractogram is simulated, not measured: it uses the GGA-PBE geometry in Alexandria and a wavelength of 1.5418 Å.
Intensities are scaled so that the largest is 100.

The 10 most intense peaks (2θ from 15° to 90°), by intensity:
| 2θ/deg | d (Å) | I_rel |
| --- | --- | --- |
| 32.14 | 2.785 | 100 |
| 31.01 | 2.884 | 30 |
| 30.07 | 2.972 | 24 |
| 55.89 | 1.645 | 21 |
| 43.74 | 2.070 | 17 |
| 34.88 | 2.572 | 13 |
| 54.72 | 1.677 | 12 |
| 58.57 | 1.576 | 9 |
| 67.24 | 1.392 | 9 |
| 48.37 | 1.882 | 8 |

Lattice parameters (Å, degrees): 10.3302 10.3302 5.9443 90.01 90.01 113.75
Fractional coordinates of all 18 atoms:
Nd1 0.0000 0.0000 0.0000
Sm1 0.1672 0.8328 0.5000
Sm2 0.3325 0.6675 0.0000
Sm3 0.5000 0.5000 0.5000
Sm4 0.6675 0.3325 0.0000
Sm5 0.8328 0.1672 0.5000
Ho1 0.0109 0.3445 0.9466
Ho2 0.1563 0.4896 0.4467
Ho3 0.1772 0.1772 0.5503
Ho4 0.3245 0.3245 0.0504
Ho5 0.3445 0.0109 0.9466
Ho6 0.4896 0.1563 0.4467
Ho7 0.5104 0.8437 0.5533
Ho8 0.6555 0.9891 0.0534
Ho9 0.6755 0.6755 0.9496
Ho10 0.8228 0.8228 0.4497
Ho11 0.8437 0.5104 0.5533
Ho12 0.9891 0.6555 0.0534

***

Diffraction record for Nd4Sm5Ho. The powder diffractogram is simulated, not measured: it uses the GGA-PBE geometry in Alexandria and a wavelength of 1.5418 Å.
Intensities are scaled so that the largest is 100.

The 10 most intense peaks (2θ from 15° to 90°), by intensity:
| 2θ/deg | d (Å) | I_rel |
| --- | --- | --- |
| 29.07 | 3.071 | 100 |
| 35.88 | 2.503 | 41 |
| 33.55 | 2.671 | 20 |
| 60.37 | 1.533 | 18 |
| 51.31 | 1.781 | 15 |
| 31.30 | 2.858 | 14 |
| 28.89 | 3.091 | 14 |
| 33.74 | 2.656 | 14 |
| 51.65 | 1.770 | 13 |
| 48.34 | 1.883 | 12 |

Lattice parameters (Å, degrees): 8.1193 8.1193 8.1193 98.33 98.33 135.25
Fractional coordinates of all 10 atoms:
Nd1 0.0000 0.3243 0.3243
Nd2 0.0000 0.6757 0.6757
Nd3 0.3243 0.0000 0.3243
Nd4 0.6757 0.0000 0.6757
Sm1 0.2834 0.2834 0.6229
Sm2 0.2834 0.6605 0.0000
Sm3 0.6605 0.2834 0.0000
Sm4 0.6605 0.6605 0.3771
Sm5 0.7445 0.7445 0.0000
Ho1 0.2124 0.2124 0.0000

***

Diffraction record for TbNd2SmHo2. The powder diffractogram is simulated, not measured: it uses the GGA-PBE geometry in Alexandria and a wavelength of 1.5418 Å.
Intensities are scaled so that the largest is 100.

The 10 most intense peaks (2θ from 15° to 90°), by intensity:
| 2θ/deg | d (Å) | I_rel |
| --- | --- | --- |
| 29.59 | 3.019 | 100 |
| 28.76 | 3.104 | 98 |
| 30.15 | 2.964 | 81 |
| 40.90 | 2.206 | 68 |
| 33.58 | 2.669 | 65 |
| 35.70 | 2.515 | 40 |
| 31.17 | 2.869 | 40 |
| 32.63 | 2.745 | 36 |
| 26.66 | 3.344 | 35 |
| 54.81 | 1.675 | 31 |

Lattice parameters (Å, degrees): 6.6099 18.1012 3.4025 90.00 90.00 90.00
Fractional coordinates of all 12 atoms:
Tb1 0.0000 0.0000 0.0000
Tb2 0.5000 0.5000 0.5000
Nd1 0.2263 0.1864 0.0000
Nd2 0.2737 0.6864 0.5000
Nd3 0.7263 0.3136 0.5000
Nd4 0.7737 0.8136 0.0000
Sm1 0.0000 0.5000 0.0000
Sm2 0.5000 0.0000 0.5000
Ho1 0.2251 0.3539 0.5000
Ho2 0.2749 0.8539 0.0000
Ho3 0.7251 0.1461 0.0000
Ho4 0.7749 0.6461 0.5000

***

Diffraction record for Tb6NdSmHo2. The powder diffractogram is simulated, not measured: it uses the GGA-PBE geometry in Alexandria and a wavelength of 1.5418 Å.
Intensities are scaled so that the largest is 100.

The 10 most intense peaks (2θ from 15° to 90°), by intensity:
| 2θ/deg | d (Å) | I_rel |
| --- | --- | --- |
| 31.32 | 2.856 | 100 |
| 30.49 | 2.932 | 99 |
| 33.76 | 2.655 | 42 |
| 28.51 | 3.130 | 38 |
| 31.55 | 2.836 | 35 |
| 32.34 | 2.769 | 24 |
| 34.41 | 2.606 | 14 |
| 59.02 | 1.565 | 13 |
| 27.97 | 3.190 | 13 |
| 37.04 | 2.427 | 12 |

Lattice parameters (Å, degrees): 8.8043 8.8043 9.6133 93.91 93.91 117.51
Fractional coordinates of all 20 atoms:
Tb1 0.0225 0.5687 0.1815
Tb2 0.1178 0.7519 0.5564
Tb3 0.2481 0.8822 0.9436
Tb4 0.2934 0.5088 0.3801
Tb5 0.4313 0.9775 0.3185
Tb6 0.4912 0.7066 0.1199
Tb7 0.5088 0.2934 0.8801
Tb8 0.5687 0.0225 0.6815
Tb9 0.7066 0.4912 0.6199
Tb10 0.7519 0.1178 0.0564
Tb11 0.8822 0.2481 0.4436
Tb12 0.9775 0.4313 0.8185
Nd1 0.4069 0.5931 0.7500
Nd2 0.5931 0.4069 0.2500
Sm1 0.0268 0.9732 0.2500
Sm2 0.9732 0.0268 0.7500
Ho1 0.1954 0.2976 0.0457
Ho2 0.2976 0.1954 0.5457
Ho3 0.7024 0.8046 0.4543
Ho4 0.8046 0.7024 0.9543